(1)
Calculated XRD peak list
Compound: Pm2Cu3Ni2
Radiation: λ = 1.5418 Å (Cu Kα)
Structure: a crystal structure in Alexandria, relaxed with PBE
Peak positions follow from Bragg's law for the DFT cell and can differ from measured ones.

Structural model:
```
Pm2Cu3Ni2
1.0
4.749 -2.063 0.000
4.749 2.063 0.000
-1.468 0.000 6.161
Pm Cu Ni
2 3 2
Cartesian
0.625 0.000 2.005
7.406 0.000 4.157
0.677 0.000 5.478
4.749 0.000 0.000
7.354 0.000 0.683
3.394 0.000 2.029
4.637 0.000 4.132
```

Largest 10 diffraction maxima, by intensity, 5° ≤ 2θ ≤ 70°:
| 2theta | d_spacing | I/Imax |
| --- | --- | --- |
| 35.87 | 2.504 | 100.0 |
| 41.88 | 2.157 | 60.1 |
| 28.93 | 3.086 | 52.1 |
| 43.88 | 2.063 | 50.0 |
| 36.40 | 2.468 | 41.2 |
| 36.62 | 2.454 | 39.8 |
| 43.16 | 2.096 | 24.7 |
| 38.31 | 2.349 | 21.4 |
| 44.10 | 2.054 | 21.2 |
| 39.50 | 2.282 | 15.7 |

=====

(2)
Calculated XRD peak list
Compound: KHg2H
Radiation: λ = 1.5418 Å (Cu Kα)
Structure: a crystal structure in Alexandria, relaxed with PBE
Peak positions follow from Bragg's law for the DFT cell and can differ from measured ones.

Structural model:
```
KHg2H
1.0
3.740 0.000 0.000
-1.740 5.530 0.000
-0.168 -2.163 9.772
K Hg H
2 4 2
Cartesian
0.049 1.349 1.067
1.783 2.018 8.705
-0.079 -0.430 6.927
-0.013 2.796 5.607
1.845 0.572 4.164
1.911 3.797 2.845
0.086 4.199 0.919
1.746 -0.831 8.853
```

Largest 10 diffraction maxima, by intensity, 5° ≤ 2θ ≤ 70°:
| 2theta | d_spacing | I/Imax |
| --- | --- | --- |
| 9.05 | 9.772 | 100.0 |
| 32.30 | 2.771 | 55.6 |
| 28.79 | 3.101 | 35.8 |
| 33.18 | 2.700 | 22.0 |
| 33.93 | 2.642 | 19.8 |
| 34.81 | 2.577 | 18.5 |
| 27.39 | 3.256 | 16.8 |
| 27.50 | 3.244 | 14.8 |
| 36.12 | 2.487 | 13.8 |
| 37.11 | 2.423 | 12.8 |

=====

(3)
Calculated XRD peak list
Compound: Sm2DyHoIn2
Radiation: λ = 1.5418 Å (Cu Kα)
Structure: a crystal structure in Alexandria, relaxed with PBE
Peak positions follow from Bragg's law for the DFT cell and can differ from measured ones.

Structural model:
```
Sm2DyHoIn2
1.0
5.236 0.000 0.000
0.000 9.913 0.000
0.000 0.000 6.765
Sm Dy Ho In
4 2 2 4
Cartesian
0.000 0.370 0.000
0.000 9.544 3.382
2.618 1.794 1.882
2.618 8.119 5.265
2.618 4.586 6.313
2.618 5.328 2.930
0.000 3.192 4.435
0.000 6.722 1.053
0.000 3.586 1.214
0.000 6.328 4.596
2.618 1.480 5.107
2.618 8.434 1.724
```

Largest 10 diffraction maxima, by intensity, 5° ≤ 2θ ≤ 70°:
| 2theta | d_spacing | I/Imax |
| --- | --- | --- |
| 32.03 | 2.794 | 100.0 |
| 32.79 | 2.731 | 61.9 |
| 34.25 | 2.618 | 40.4 |
| 31.49 | 2.841 | 28.0 |
| 60.37 | 1.533 | 17.3 |
| 47.60 | 1.910 | 17.2 |
| 58.04 | 1.589 | 16.5 |
| 38.07 | 2.364 | 13.5 |
| 59.94 | 1.543 | 12.2 |
| 28.08 | 3.178 | 11.3 |